[1]
Structure and computed X-ray powder pattern of Pa3Co6Si5 (a cell relaxed with GGA-PBE; Cu Ka).

Structural model:
```
data_Pa3Co6Si5
_space_group_name_H-M_alt 'P m m n'
_space_group_IT_number 59
_cell_length_a 3.8920
_cell_length_b 11.4657
_cell_length_c 9.4397
_cell_angle_alpha 90.00
_cell_angle_beta 90.00
_cell_angle_gamma 90.00
loop_
_space_group_symop_operation_xyz
'x,y,z'
'-x,-y,-z'
'-x+1/2,-y+1/2,z'
'x+1/2,y+1/2,-z'
'x+1/2,-y,-z'
'-x+1/2,y,z'
'-x,y+1/2,-z'
'x,-y+1/2,z'
loop_
_atom_site_label
_atom_site_type_symbol
_atom_site_fract_x
_atom_site_fract_y
_atom_site_fract_z
Pa1 Pa 0.2500 0.0910 0.2379
Pa2 Pa 0.2500 0.7500 0.2645
Co1 Co 0.2500 0.0479 0.8921
Co2 Co 0.2500 0.2500 0.0024
Co3 Co 0.2500 0.2500 0.5158
Co4 Co 0.2500 0.5816 0.4891
Si1 Si 0.2500 0.0730 0.6418
Si2 Si 0.2500 0.6327 0.9970
Si3 Si 0.2500 0.7500 0.6174
```

The 6 most intense peaks (2θ = 10–90°), low angle first:
2theta	I (rel.)	(hkl)
24.74	42	1 0 1
25.14	42	0 3 1
32.84	24	1 3 0
36.73	37	1 0 3
37.01	34	0 3 3
38.12	100	1 3 2

=====

[2]
Structure and computed X-ray powder pattern of PaCo5Si2 (a cell relaxed with GGA-PBE; Cu Ka).

Structural model:
```
data_PaCo5Si2
_space_group_name_H-M_alt 'I m m m'
_space_group_IT_number 71
_space_group_name_Hall '-I 2 2'
_cell_length_a 3.5732
_cell_length_b 6.3916
_cell_length_c 9.1005
_cell_angle_alpha 90.00
_cell_angle_beta 90.00
_cell_angle_gamma 90.00
loop_
_atom_site_label
_atom_site_type_symbol
_atom_site_fract_x
_atom_site_fract_y
_atom_site_fract_z
Pa1 Pa 0.0000 0.0000 0.0000
Co1 Co 0.0000 0.1946 0.3592
Co2 Co 0.0000 0.5000 0.0000
Si1 Si 0.0000 0.5000 0.2403
```

The 6 most intense peaks (2θ = 10–90°), low angle first:
2theta	I (rel.)	(hkl)
32.68	30	0 1 3
34.29	30	0 2 2
34.88	33	1 1 2
38.95	73	1 0 3
39.09	100	1 2 1
49.16	40	0 2 4

=====

[3]
Structure and computed X-ray powder pattern of Pa2CoSi3 (a cell relaxed with GGA-PBE; Cu Ka).

Structural model:
```
data_Pa2CoSi3
_space_group_name_H-M_alt 'P m m 2'
_space_group_IT_number 25
_space_group_name_Hall 'P 2 -2'
_cell_length_a 3.8969
_cell_length_b 4.0383
_cell_length_c 6.8739
_cell_angle_alpha 90.00
_cell_angle_beta 90.00
_cell_angle_gamma 90.00
loop_
_atom_site_label
_atom_site_type_symbol
_atom_site_fract_x
_atom_site_fract_y
_atom_site_fract_z
Pa1 Pa 0.0000 0.0000 0.0000
Pa2 Pa 0.0000 0.5000 0.4861
Co1 Co 0.5000 0.0000 0.3202
Si1 Si 0.5000 0.0000 0.6490
Si2 Si 0.5000 0.5000 0.1654
Si3 Si 0.5000 0.5000 0.8235
```

The 6 most intense peaks (2θ = 10–90°), low angle first:
2theta	I (rel.)	(hkl)
25.58	55	0 1 1
25.92	26	0 0 2
34.54	100	1 1 1
34.80	50	1 0 2
45.52	30	0 1 3
58.03	23	1 2 2

=====

[4]
Structure and computed X-ray powder pattern of Sm2Pa2Co3 (a cell relaxed with GGA-PBE; Cu Ka).

Structural model:
```
data_Sm2Pa2Co3
_space_group_name_H-M_alt 'P -1'
_space_group_IT_number 2
_space_group_name_Hall '-P 1'
_cell_length_a 3.6252
_cell_length_b 6.4577
_cell_length_c 7.0943
_cell_angle_alpha 80.28
_cell_angle_beta 75.36
_cell_angle_gamma 73.85
loop_
_atom_site_label
_atom_site_type_symbol
_atom_site_fract_x
_atom_site_fract_y
_atom_site_fract_z
Sm1 Sm 0.0707 0.2341 0.1238
Pa1 Pa 0.3201 0.2600 0.6002
Co1 Co 0.0000 0.0000 0.5000
Co2 Co 0.3592 0.5542 0.2284
```

The 6 most intense peaks (2θ = 10–90°), low angle first:
2theta	I (rel.)	(hkl)
28.52	48	0 1 2
28.95	52	0 2 0
31.27	100	0 1 -2
32.88	47	1 1 -1
33.09	58	1 -1 0
33.19	51	1 2 1

=====

[5]
Structure and computed X-ray powder pattern of SmPaCo10 (a cell relaxed with GGA-PBE; Cu Ka).

Structural model:
```
data_SmPaCo10
_space_group_name_H-M_alt 'P m m m'
_space_group_IT_number 47
_space_group_name_Hall '-P 2 2'
_cell_length_a 4.0079
_cell_length_b 4.8733
_cell_length_c 8.4899
_cell_angle_alpha 90.00
_cell_angle_beta 90.00
_cell_angle_gamma 90.00
loop_
_atom_site_label
_atom_site_type_symbol
_atom_site_fract_x
_atom_site_fract_y
_atom_site_fract_z
Sm1 Sm 0.0000 0.0000 0.0000
Pa1 Pa 0.0000 0.5000 0.5000
Co1 Co 0.0000 0.0000 0.3431
Co2 Co 0.0000 0.5000 0.1921
Co3 Co 0.5000 0.0000 0.5000
Co4 Co 0.5000 0.2464 0.2494
Co5 Co 0.5000 0.5000 0.0000
```

The 6 most intense peaks (2θ = 10–90°), low angle first:
2theta	I (rel.)	(hkl)
30.72	100	1 1 1
36.72	34	0 1 3
42.79	35	0 2 2
43.32	98	1 1 3
43.46	51	1 2 0
45.25	40	2 0 0

=====

[6]
Structure and computed X-ray powder pattern of Pa2Co3Sn2 (a cell relaxed with GGA-PBE; Cu Ka).

Structural model:
```
data_Pa2Co3Sn2
_space_group_name_H-M_alt 'C 1 2/m 1'
_space_group_IT_number 12
_space_group_name_Hall '-C 2y'
_cell_length_a 12.0066
_cell_length_b 4.3691
_cell_length_c 5.0673
_cell_angle_alpha 90.00
_cell_angle_beta 94.05
_cell_angle_gamma 90.00
loop_
_atom_site_label
_atom_site_type_symbol
_atom_site_fract_x
_atom_site_fract_y
_atom_site_fract_z
Pa1 Pa 0.1464 0.0000 0.3566
Co1 Co 0.0000 0.0000 0.0000
Co2 Co 0.2198 0.0000 0.8156
Sn1 Sn 0.0962 0.5000 0.8224
```

The 6 most intense peaks (2θ = 10–90°), low angle first:
2theta	I (rel.)	(hkl)
28.34	64	1 1 1
30.33	32	3 1 0
34.42	100	3 1 -1
39.68	33	2 0 2
41.33	41	0 2 0
47.92	27	5 1 1